(1)
CrPW2: calculated powder XRD pattern (Cu Ka), based on the GGA-PBE geometry in Alexandria.
No peak broadening, texture or thermal motion is included.

Peak list (8 most intense, 15° ≤ 2θ ≤ 90°, sorted by position)
2θ = 22.16°, intensity 93.3
2θ = 34.12°, intensity 31.8
2θ = 34.97°, intensity 30.5
2θ = 40.75°, intensity 50.9
2θ = 41.06°, intensity 100.0
2θ = 41.79°, intensity 96.4
2θ = 45.21°, intensity 38.4
2θ = 62.46°, intensity 40.7

Crystal structure
a = 2.767 Å, b = 4.011 Å, c = 5.243 Å
α = 90.00°, β = 101.85°, γ = 90.00°
Space group P2/m (No. 10)
Symmetry-distinct sites (fractional):
1 Cr 0.000 0.000 0.000 [1 per cell]
2 P 0.500 0.000 0.500 [1 per cell]
3 W 0.272 0.500 0.751 [2 per cell]

***

(2)
BaLi2Pb3: calculated powder XRD pattern (Cu Ka), based on the GGA-PBE geometry in Alexandria.
No peak broadening, texture or thermal motion is included.

Peak list (8 most intense, 15° ≤ 2θ ≤ 90°, sorted by position)
2θ = 19.62°, intensity 40.1
2θ = 25.03°, intensity 68.7
2θ = 31.06°, intensity 100.0
2θ = 33.44°, intensity 36.2
2θ = 37.01°, intensity 55.1
2θ = 46.29°, intensity 26.9
2θ = 51.36°, intensity 50.1
2θ = 55.26°, intensity 21.1

Crystal structure
a = 6.6495 Å, b = 6.6495 Å, c = 4.5249 Å
α = 90.00°, β = 90.00°, γ = 120.00°
Space group P6/mmm (No. 191)
Symmetry-distinct sites (fractional):
1 Ba 0.0000 0.0000 0.0000 [1 per cell]
2 Li 0.3333 0.6667 0.0000 [2 per cell]
3 Pb 0.0000 0.5000 0.5000 [3 per cell]

***

(3)
Zr3IrRu2: calculated powder XRD pattern (Cu Ka), based on the GGA-PBE geometry in Alexandria.
No peak broadening, texture or thermal motion is included.

Peak list (8 most intense, 15° ≤ 2θ ≤ 90°, sorted by position)
2θ = 38.54°, intensity 51.2
2θ = 38.85°, intensity 100.0
2θ = 55.64°, intensity 17.3
2θ = 56.58°, intensity 8.8
2θ = 69.93°, intensity 34.5
2θ = 70.55°, intensity 16.8
2θ = 82.59°, intensity 5.5
2θ = 83.39°, intensity 10.9

Crystal structure
a = 3.304 Å, b = 3.304 Å, c = 9.759 Å
α = 90.00°, β = 90.00°, γ = 90.00°
Space group P4/mmm (No. 123)
Symmetry-distinct sites (fractional):
1 Zr 0.000 0.000 0.000 [1 per cell]
2 Zr 0.000 0.000 0.333 [2 per cell]
3 Ir 0.500 0.500 0.500 [1 per cell]
4 Ru 0.500 0.500 0.167 [2 per cell]

***

(4)
PmNi6B4: calculated powder XRD pattern (Cu Ka), based on the GGA-PBE geometry in Alexandria.
No peak broadening, texture or thermal motion is included.

Peak list (8 most intense, 15° ≤ 2θ ≤ 90°, sorted by position)
2θ = 30.94°, intensity 33.4
2θ = 33.83°, intensity 34.3
2θ = 39.37°, intensity 15.6
2θ = 43.05°, intensity 100.0
2θ = 45.28°, intensity 25.9
2θ = 53.12°, intensity 15.8
2θ = 60.53°, intensity 12.6
2θ = 84.51°, intensity 13.4

Crystal structure
a = 6.1187 Å, b = 6.1187 Å, c = 3.4485 Å
α = 90.00°, β = 90.00°, γ = 120.00°
Space group P-6m2 (No. 187)
Symmetry-distinct sites (fractional):
1 Pm 0.0000 0.0000 0.0000 [1 per cell]
2 Ni 0.2038 0.4076 0.5000 [3 per cell]
3 Ni 0.5311 0.0623 0.0000 [3 per cell]
4 B 0.3333 0.6667 0.0000 [1 per cell]
5 B 0.4463 0.2231 0.5000 [3 per cell]